# Nd4B3SbRh12
Calculated PXRD pattern, λ = 1.5418 Å (Cu Kα). Input: the GGA-PBE geometry in Alexandria.
Lines closer than 0.1° are merged.

Crystal structure
a b c (Å): 7.6281 7.6281 7.6281
angles (deg): 109.47 109.47 109.47
Fractional positions:
1 Nd 0.0000 0.0000 0.5000
2 Nd 0.0000 0.5000 0.0000
3 Nd 0.5000 0.0000 0.0000
4 Nd 0.5000 0.5000 0.5000
5 B 0.0000 0.5000 0.5000
6 B 0.5000 0.0000 0.5000
7 B 0.5000 0.5000 0.0000
8 Sb 0.0000 0.0000 0.0000
9 Rh 0.0000 0.2782 0.2782
10 Rh 0.0000 0.7218 0.7218
11 Rh 0.2500 0.5000 0.7500
12 Rh 0.2500 0.7500 0.5000
13 Rh 0.2782 0.0000 0.2782
14 Rh 0.2782 0.2782 0.0000
15 Rh 0.5000 0.2500 0.7500
16 Rh 0.5000 0.7500 0.2500
17 Rh 0.7218 0.0000 0.7218
18 Rh 0.7218 0.7218 0.0000
19 Rh 0.7500 0.2500 0.5000
20 Rh 0.7500 0.5000 0.2500

Most intense lines, 10° ≤ 2θ ≤ 90°, sorted by position:
| 2θ/deg | I_rel |
| --- | --- |
| 28.67 | 100 |
| 32.14 | 47 |
| 35.30 | 1000 |
| 38.23 | 67 |
| 40.99 | 671 |
| 48.48 | 51 |
| 59.35 | 421 |
| 70.98 | 339 |
| 74.66 | 133 |
| 88.88 | 64 |

***

# SrPaSbO6
Calculated PXRD pattern, λ = 1.5418 Å (Cu Kα). Input: the GGA-PBE geometry in Alexandria.
Lines closer than 0.1° are merged.

Crystal structure
a b c (Å): 5.6609 5.6609 10.5777
angles (deg): 90.00 90.00 120.00
Fractional positions:
1 Sr 0.0000 0.0000 0.0000
2 Sr 0.0000 0.0000 0.5000
3 Pa 0.3333 0.6667 0.2500
4 Pa 0.6667 0.3333 0.7500
5 Sb 0.3333 0.6667 0.7500
6 Sb 0.6667 0.3333 0.2500
7 O 0.0239 0.3802 0.6449
8 O 0.0239 0.6437 0.8551
9 O 0.3563 0.3802 0.8551
10 O 0.3563 0.9761 0.6449
11 O 0.3802 0.0239 0.1449
12 O 0.3802 0.3563 0.3551
13 O 0.6198 0.6437 0.6449
14 O 0.6198 0.9761 0.8551
15 O 0.6437 0.0239 0.3551
16 O 0.6437 0.6198 0.1449
17 O 0.9761 0.3563 0.1449
18 O 0.9761 0.6198 0.3551

Most intense lines, 10° ≤ 2θ ≤ 90°, sorted by position:
| 2θ/deg | I_rel |
| --- | --- |
| 16.76 | 478 |
| 18.09 | 140 |
| 19.96 | 153 |
| 24.76 | 1000 |
| 31.61 | 573 |
| 35.99 | 364 |
| 40.56 | 255 |
| 47.03 | 573 |
| 52.31 | 256 |
| 56.30 | 189 |

***

# Ti2BiF
Calculated PXRD pattern, λ = 1.5418 Å (Cu Kα). Input: the GGA-PBE geometry in Alexandria.
Lines closer than 0.1° are merged.

Crystal structure
a b c (Å): 4.6574 4.6574 4.6574
angles (deg): 60.00 60.00 60.00
Fractional positions:
1 Ti 0.2500 0.2500 0.2500
2 Ti 0.7500 0.7500 0.7500
3 Bi 0.0000 0.0000 0.0000
4 F 0.5000 0.5000 0.5000

Most intense lines, 10° ≤ 2θ ≤ 90°, sorted by position:
| 2θ/deg | I_rel |
| --- | --- |
| 23.39 | 799 |
| 27.08 | 206 |
| 38.67 | 1000 |
| 45.68 | 439 |
| 55.83 | 167 |
| 61.35 | 191 |
| 69.97 | 334 |
| 74.92 | 149 |
| 82.92 | 106 |
| 87.65 | 160 |

***

# Ge2AsRh5
Calculated PXRD pattern, λ = 1.5418 Å (Cu Kα). Input: the GGA-PBE geometry in Alexandria.
Lines closer than 0.1° are merged.

Crystal structure
a b c (Å): 5.6352 10.7325 3.8994
angles (deg): 90.00 90.00 90.00
Fractional positions:
1 Ge 0.0800 0.1596 0.0000
2 Ge 0.4200 0.6596 0.0000
3 Ge 0.5800 0.3404 0.0000
4 Ge 0.9200 0.8404 0.0000
5 As 0.0000 0.5000 0.5000
6 As 0.5000 0.0000 0.5000
7 Rh 0.0000 0.0000 0.5000
8 Rh 0.1569 0.7119 0.5000
9 Rh 0.1618 0.3925 0.0000
10 Rh 0.3382 0.8925 0.0000
11 Rh 0.3431 0.2119 0.5000
12 Rh 0.5000 0.5000 0.5000
13 Rh 0.6569 0.7881 0.5000
14 Rh 0.6618 0.1075 0.0000
15 Rh 0.8382 0.6075 0.0000
16 Rh 0.8431 0.2881 0.5000

Most intense lines, 10° ≤ 2θ ≤ 90°, sorted by position:
| 2θ/deg | I_rel |
| --- | --- |
| 32.53 | 296 |
| 37.11 | 216 |
| 37.67 | 190 |
| 40.38 | 767 |
| 40.81 | 1000 |
| 43.04 | 358 |
| 46.58 | 420 |
| 53.73 | 138 |
| 63.60 | 126 |
| 70.92 | 146 |

***

# CsRbSbS2
Calculated PXRD pattern, λ = 1.5418 Å (Cu Kα). Input: the GGA-PBE geometry in Alexandria.
Lines closer than 0.1° are merged.

Crystal structure
a b c (Å): 5.9546 8.1150 7.5994
angles (deg): 90.00 90.00 90.00
Fractional positions:
1 Cs 0.2500 0.0000 0.1844
2 Cs 0.7500 0.0000 0.8156
3 Rb 0.2500 0.5000 0.4207
4 Rb 0.7500 0.5000 0.5793
5 Sb 0.0000 0.5000 0.0000
6 Sb 0.5000 0.5000 0.0000
7 S 0.2500 0.2771 0.7947
8 S 0.2500 0.7229 0.7947
9 S 0.7500 0.2771 0.2053
10 S 0.7500 0.7229 0.2053

Most intense lines, 10° ≤ 2θ ≤ 90°, sorted by position:
| 2θ/deg | I_rel |
| --- | --- |
| 10.90 | 382 |
| 11.64 | 550 |
| 21.90 | 1000 |
| 25.89 | 765 |
| 29.11 | 922 |
| 30.00 | 640 |
| 34.18 | 736 |
| 40.96 | 293 |
| 44.66 | 283 |
| 46.93 | 326 |